This entry pairs a crystal structure of CoCSN6Cl2 with its simulated powder diffractogram. Radiation: Cu Kα X-rays. Structure: a crystal structure in Alexandria, relaxed with GGA-PBE.

Largest 12 diffraction maxima, low angle first, 2θ from 15° to 90°:
2θ (°)	I/Imax
15.7	94.0
19.3	24.4
25.0	23.5
29.7	100.0
31.7	22.6
35.7	48.6
39.2	23.0
40.9	59.3
51.4	35.0
60.5	22.0
61.6	18.7
67.6	15.9

Cell and atoms:
```
CoCSN6Cl2
1.0
-2.515 2.515 5.640
2.515 -2.515 5.640
2.515 2.515 -5.640
Co C S N Cl
1 1 1 6 2
Direct
0.000 0.000 0.000
0.286 0.286 0.000
0.453 0.453 0.000
0.181 0.181 0.000
0.301 0.301 0.579
0.301 0.722 0.000
0.722 0.301 0.000
0.722 0.722 0.421
0.855 0.855 0.000
0.317 0.817 0.500
0.817 0.317 0.500
```